For TaMn2Nb2, a structure optimized by DFT (PBE) gives the theoretical X-ray powder pattern in this record (Cu Kα (weighted mean of Kα1 and Kα2)).

Lattice parameters (Å, degrees): 2.992 17.754 2.977 90.00 90.00 90.00
Space group Cmmm (No. 65)
Asymmetric unit:
Ta 0.000 0.000 0.000
Mn 0.000 0.413 0.500
Nb 0.000 0.176 0.000

Top 8 peaks for 10 to 80 degrees two-theta, most intense first:
- 43.14°, intensity 100, hkl 0 6 1
- 39.38°, intensity 49, hkl 1 5 0
- 30.25°, intensity 32, hkl 0 6 0
- 30.02°, intensity 19, hkl 0 0 1
- 73.93°, intensity 17, hkl 1 11 1
- 78.53°, intensity 15, hkl 2 6 1
- 76.33°, intensity 13, hkl 1 5 2
- 46.97°, intensity 13, hkl 1 7 0

***

For Pu2NiB10, a structure optimized by DFT (PBE) gives the theoretical X-ray powder pattern in this record (Cu Kα (weighted mean of Kα1 and Kα2)).

Lattice parameters (Å, degrees): 5.571 11.070 4.137 90.00 90.00 90.00
Space group Pbam (No. 55)
Asymmetric unit:
Pu 0.183 0.139 0.000
Ni 0.000 0.500 0.500
B 0.029 0.313 0.500
B 0.126 0.960 0.500
B 0.158 0.802 0.500
B 0.200 0.386 0.198

Top 8 peaks for 10 to 80 degrees two-theta, most intense first:
- 31.41°, intensity 100, hkl 1 2 1
- 22.65°, intensity 81, hkl 1 2 0
- 21.48°, intensity 43, hkl 0 0 1
- 39.16°, intensity 42, hkl 0 4 1
- 49.81°, intensity 38, hkl 1 2 2
- 38.98°, intensity 24, hkl 2 0 1
- 39.85°, intensity 24, hkl 2 1 1
- 28.05°, intensity 23, hkl 1 1 1

***

For Ba2CaReN4, a structure optimized by DFT (PBE) gives the theoretical X-ray powder pattern in this record (Cu Kα (weighted mean of Kα1 and Kα2)).

Lattice parameters (Å, degrees): 6.156 7.885 6.576 90.00 90.00 90.00
Space group Pmmn (No. 59, origin choice 2)
Asymmetric unit:
Ba 0.250 0.006 0.243
Ca 0.250 0.250 0.770
Re 0.250 0.750 0.801
N 0.016 0.750 0.982
N 0.250 0.550 0.655

Top 8 peaks for 10 to 80 degrees two-theta, most intense first:
- 30.16°, intensity 100, hkl 1 2 1
- 29.01°, intensity 31, hkl 2 0 0
- 27.12°, intensity 29, hkl 0 0 2
- 40.13°, intensity 25, hkl 2 0 2
- 52.14°, intensity 22, hkl 3 2 1
- 17.56°, intensity 20, hkl 0 1 1
- 49.85°, intensity 19, hkl 1 2 3
- 18.28°, intensity 16, hkl 1 1 0

***

For LiTi2Zn2P2O10, a structure optimized by DFT (PBE) gives the theoretical X-ray powder pattern in this record (Cu Kα (weighted mean of Kα1 and Kα2)).

Lattice parameters (Å, degrees): 5.391 5.797 7.220 107.23 107.44 95.14
Space group P1 (No. 1)
Asymmetric unit:
Li 0.000 0.000 0.000
Ti 0.573 0.834 0.096
Ti 0.590 0.839 0.570
Zn 0.386 0.267 0.415
Zn 0.834 0.471 0.844
P 0.259 0.236 0.843
P 0.916 0.451 0.320
O 0.218 0.559 0.450
O 0.263 0.517 0.938
O 0.344 0.110 0.006
O 0.436 0.193 0.705
O 0.462 0.951 0.334
O 0.688 0.767 0.841
O 0.745 0.508 0.463
O 0.823 0.564 0.148
O 0.901 0.169 0.229
O 0.951 0.134 0.724

Top 8 peaks for 10 to 80 degrees two-theta, most intense first:
- 26.37°, intensity 100, hkl 1 1 0
- 26.83°, intensity 83, hkl 0 1 -2
- 34.31°, intensity 66, hkl 1 -2 0
- 27.14°, intensity 59, hkl 1 0 -2
- 42.37°, intensity 49, hkl 2 1 0
- 35.62°, intensity 40, hkl 1 -1 2
- 36.86°, intensity 38, hkl 0 1 2
- 17.58°, intensity 38, hkl 1 0 0

***

For MnCd3Pt6, a structure optimized by DFT (PBE) gives the theoretical X-ray powder pattern in this record (Cu Kα (weighted mean of Kα1 and Kα2)).

Lattice parameters (Å, degrees): 8.859 4.109 9.141 90.00 92.44 90.00
Space group P2_1/m (No. 11)
Asymmetric unit:
Mn 0.053 0.250 0.389
Cd 0.247 0.250 0.002
Cd 0.347 0.750 0.796
Cd 0.449 0.250 0.599
Pt 0.048 0.750 0.897
Pt 0.136 0.250 0.687
Pt 0.147 0.750 0.204
Pt 0.231 0.750 0.495
Pt 0.342 0.250 0.303
Pt 0.448 0.750 0.102

Top 8 peaks for 10 to 80 degrees two-theta, most intense first:
- 38.51°, intensity 100, hkl 1 1 3
- 44.08°, intensity 17, hkl 0 2 0
- 43.84°, intensity 17, hkl 2 0 -4
- 46.35°, intensity 14, hkl 4 0 2
- 77.34°, intensity 13, hkl 1 3 3
- 76.99°, intensity 13, hkl 5 1 -5
- 63.92°, intensity 12, hkl 2 2 -4
- 65.88°, intensity 10, hkl 4 2 2